Calculated X-ray diffraction stick pattern of LiHg15 for λ = 1.5418 Å (Cu Kα), from the GGA-PBE geometry in Alexandria.

Top 6 peaks for 2θ from 15° to 90°, sorted by position:
h k l, 2θ (°), intensity
2 0 0, 30.6, 24
0 0 4, 33.0, 25
2 0 2, 34.9, 100
2 2 0, 54.5, 19
2 0 6, 60.1, 19
2 2 4, 65.2, 21

Crystal structure
a = 6.7374 Å, b = 6.7374 Å, c = 10.8730 Å
α = 90.00°, β = 90.00°, γ = 120.00°
Space group P-6m2 (No. 187)
Inequivalent atoms, fractional coordinates:
Li (0.0000, 0.0000, 0.0000)
Hg (0.0000, 0.0000, 0.5000)
Hg (0.0116, 0.5058, 0.0000)
Hg (0.3294, 0.1647, 0.2381)
Hg (0.3333, 0.6667, 0.2619)
Hg (0.5045, 0.0090, 0.5000)